1.
Diffraction record for NaTl2SnAu2. The XRD peak list is computed, not measured: it uses a cell relaxed with PBE and Cu Kα X-rays.

Crystal structure
abc: 4.623 8.562 7.742
angles: 90.00 90.00 90.00
Space group Pmc2_1 (No. 26)
Unique sites:
Na 0.000 0.071 0.000
Tl 0.000 0.323 0.344
Tl 0.500 0.410 0.029
Sn 0.500 0.186 0.657
Au 0.000 0.345 0.745
Au 0.500 0.107 0.303

Most intense lines, 2θ = 5–70°, by intensity:
two_theta, Rel. int., (hkl)
31.91, 100, 1 1 2
38.93, 79, 2 0 0
30.72, 72, 1 2 1
37.02, 43, 1 3 0
36.36, 40, 0 1 3
44.02, 29, 1 3 2
10.33, 27, 0 1 0
54.35, 26, 2 1 3
30.11, 25, 1 0 2
21.85, 23, 1 1 0
23.75, 20, 0 2 1
40.83, 19, 0 2 3



2.
Diffraction record for PmPu3Pt2. The XRD peak list is computed, not measured: it uses a cell relaxed with PBE and Cu Kα X-rays.

Crystal structure
abc: 4.411 9.074 7.467
angles: 90.00 90.00 90.00
Space group Pmc2_1 (No. 26)
Unique sites:
Pm 0.000 0.075 0.000
Pu 0.000 0.332 0.621
Pu 0.500 0.180 0.337
Pu 0.500 0.426 0.945
Pt 0.000 0.357 0.216
Pt 0.500 0.130 0.723

Most intense lines, 2θ = 5–70°, by intensity:
two_theta, Rel. int., (hkl)
32.95, 100, 1 1 2
30.70, 88, 1 2 1
36.00, 74, 1 3 0
31.39, 55, 1 0 2
40.92, 55, 2 0 0
41.38, 34, 0 2 3
31.92, 26, 0 3 1
58.93, 25, 1 4 3
59.60, 24, 2 2 3
66.95, 23, 1 1 5
37.47, 23, 0 1 3
38.30, 21, 0 3 2